(1)
Calculated X-ray powder pattern
Compound: Na2H7Ir
Radiation: Cu Ka
Structure: a cell relaxed with PBE

Structure:
```
Na2H7Ir
1.0
5.8877 -2.4479 0.0000
5.8877 2.4479 0.0000
-5.5418 0.0000 7.3852
Na H Ir
4 14 2
Direct
0.1240 0.6436 0.9702
0.3564 0.8760 0.5298
0.6436 0.1240 0.4702
0.8760 0.3564 0.0298
0.0891 0.1088 0.7749
0.1088 0.0891 0.2749
0.1673 0.6676 0.5257
0.2226 0.4745 0.6942
0.3324 0.8327 0.9743
0.4172 0.5828 0.2500
0.4745 0.2226 0.1942
0.5255 0.7774 0.8058
0.5828 0.4172 0.7500
0.6676 0.1673 0.0257
0.7774 0.5255 0.3058
0.8327 0.3324 0.4743
0.8912 0.9109 0.7251
0.9109 0.8912 0.2251
0.2531 0.7469 0.7500
0.7469 0.2531 0.2500
```

The 8 most intense peaks (2θ from 10° to 90°), low angle first:
2θ = 18.8°, d = 4.709 Å, rel. 87
2θ = 19.7°, d = 4.499 Å, rel. 57
2θ = 20.7°, d = 4.300 Å, rel. 98
2θ = 26.5°, d = 3.360 Å, rel. 100
2θ = 29.6°, d = 3.019 Å, rel. 31
2θ = 30.4°, d = 2.941 Å, rel. 36
2θ = 35.1°, d = 2.558 Å, rel. 52
2θ = 36.7°, d = 2.451 Å, rel. 56

(2)
Calculated X-ray powder pattern
Compound: Na3H6Ir
Radiation: Cu Ka
Structure: a cell relaxed with PBE

Structure:
```
Na3H6Ir
1.0
9.2817 0.0000 0.0000
0.0000 5.2077 0.0000
0.0000 0.0000 9.5569
Na H Ir
12 24 4
Direct
0.0455 0.2500 0.1276
0.1042 0.7500 0.5340
0.2197 0.2500 0.7493
0.2803 0.7500 0.2493
0.3958 0.2500 0.0340
0.4545 0.7500 0.6276
0.5455 0.2500 0.3724
0.6042 0.7500 0.9660
0.7197 0.2500 0.7507
0.7803 0.7500 0.2507
0.8958 0.2500 0.4660
0.9545 0.7500 0.8724
0.1077 0.0280 0.3374
0.1077 0.4720 0.3374
0.1232 0.2500 0.5475
0.1677 0.5200 0.9662
0.1677 0.9800 0.9662
0.1843 0.7500 0.7511
0.3157 0.2500 0.2511
0.3323 0.0200 0.4662
0.3323 0.4800 0.4662
0.3768 0.7500 0.0475
0.3923 0.5280 0.8374
0.3923 0.9720 0.8374
0.6077 0.0280 0.1626
0.6077 0.4720 0.1626
0.6232 0.2500 0.9525
0.6677 0.5200 0.5338
0.6677 0.9800 0.5338
0.6843 0.7500 0.7489
0.8157 0.2500 0.2489
0.8323 0.0200 0.0338
0.8323 0.4800 0.0338
0.8768 0.7500 0.4525
0.8923 0.5280 0.6626
0.8923 0.9720 0.6626
0.2219 0.2500 0.4012
0.2781 0.7500 0.9012
0.7219 0.2500 0.0988
0.7781 0.7500 0.5988
```

The 8 most intense peaks (2θ from 10° to 90°), low angle first:
2θ = 19.1°, d = 4.641 Å, rel. 58
2θ = 19.4°, d = 4.573 Å, rel. 44
2θ = 20.9°, d = 4.248 Å, rel. 83
2θ = 21.7°, d = 4.102 Å, rel. 100
2θ = 33.0°, d = 2.718 Å, rel. 54
2θ = 34.4°, d = 2.605 Å, rel. 36
2θ = 35.0°, d = 2.562 Å, rel. 47
2θ = 38.4°, d = 2.345 Å, rel. 40

(3)
Calculated X-ray powder pattern
Compound: NaHIr2
Radiation: Cu Ka
Structure: a cell relaxed with PBE

Structure:
```
NaHIr2
1.0
0.0000 3.9395 3.9395
3.9395 0.0000 3.9395
3.9395 3.9395 0.0000
Na H Ir
2 2 4
Direct
0.1250 0.1250 0.1250
0.8750 0.8750 0.8750
0.3750 0.3750 0.3750
0.6250 0.6250 0.6250
0.0000 0.5000 0.5000
0.5000 0.0000 0.5000
0.5000 0.5000 0.0000
0.5000 0.5000 0.5000
```

The 8 most intense peaks (2θ from 10° to 90°), low angle first:
2θ = 19.5°, d = 4.549 Å, rel. 100
2θ = 37.9°, d = 2.376 Å, rel. 81
2θ = 39.6°, d = 2.274 Å, rel. 81
2θ = 46.1°, d = 1.970 Å, rel. 35
2θ = 50.5°, d = 1.808 Å, rel. 25
2θ = 61.1°, d = 1.516 Å, rel. 27
2θ = 67.2°, d = 1.393 Å, rel. 29
2θ = 80.9°, d = 1.188 Å, rel. 31

(4)
Calculated X-ray powder pattern
Compound: NaPrH6Ir
Radiation: Cu Ka
Structure: a cell relaxed with PBE

Structure:
```
NaPrH6Ir
1.0
4.9189 0.0000 0.0000
-2.4594 4.2599 0.0000
0.0000 0.0000 4.4353
Na Pr H Ir
1 1 6 1
Direct
0.0000 0.0000 0.0000
0.3333 0.6667 0.5214
0.9998 0.4999 0.0012
0.3389 0.1694 0.4446
0.5001 0.0002 0.0012
0.5001 0.4999 0.0012
0.8306 0.1694 0.4446
0.8306 0.6611 0.4446
0.6667 0.3333 0.2166
```

The 8 most intense peaks (2θ from 10° to 90°), low angle first:
2θ = 20.0°, d = 4.435 Å, rel. 21
2θ = 20.9°, d = 4.260 Å, rel. 36
2θ = 29.1°, d = 3.072 Å, rel. 100
2θ = 36.5°, d = 2.459 Å, rel. 50
2θ = 42.0°, d = 2.151 Å, rel. 18
2θ = 46.1°, d = 1.967 Å, rel. 33
2θ = 47.3°, d = 1.920 Å, rel. 27
2θ = 61.2°, d = 1.513 Å, rel. 25

(5)
Calculated X-ray powder pattern
Compound: RbNa2H6Ir
Radiation: Cu Ka
Structure: a cell relaxed with PBE

Structure:
```
RbNa2H6Ir
1.0
5.2800 0.0000 0.0000
-2.6400 4.5726 0.0000
0.0000 0.0000 6.9174
Rb Na H Ir
1 2 6 1
Direct
0.0000 0.0000 0.0000
0.3333 0.6667 0.5719
0.6667 0.3333 0.4281
0.1477 0.2954 0.3531
0.1477 0.8523 0.3531
0.2954 0.1477 0.6469
0.7046 0.8523 0.3531
0.8523 0.1477 0.6469
0.8523 0.7046 0.6469
0.0000 0.0000 0.5000
```

The 8 most intense peaks (2θ from 10° to 90°), low angle first:
2θ = 12.8°, d = 6.917 Å, rel. 31
2θ = 19.4°, d = 4.573 Å, rel. 100
2θ = 25.8°, d = 3.459 Å, rel. 24
2θ = 32.5°, d = 2.758 Å, rel. 59
2θ = 34.0°, d = 2.640 Å, rel. 40
2θ = 43.1°, d = 2.099 Å, rel. 37
2θ = 47.7°, d = 1.907 Å, rel. 21
2θ = 59.8°, d = 1.546 Å, rel. 21

(6)
Calculated X-ray powder pattern
Compound: Na2H6IrRh
Radiation: Cu Ka
Structure: a cell relaxed with PBE

Structure:
```
Na2H6IrRh
1.0
0.0000 3.5475 3.5639
3.5344 0.0000 3.5639
3.5344 3.5475 0.0000
Na H Ir Rh
2 6 1 1
Direct
0.2500 0.2500 0.2500
0.7500 0.7500 0.7500
0.2467 0.2467 0.7533
0.2470 0.7530 0.2470
0.2472 0.7528 0.7528
0.7528 0.2472 0.2472
0.7530 0.2470 0.7530
0.7533 0.7533 0.2467
0.0000 0.0000 0.0000
0.5000 0.5000 0.5000
```

The 8 most intense peaks (2θ from 10° to 90°), low angle first:
2θ = 21.7°, d = 4.097 Å, rel. 20
2θ = 25.0°, d = 3.564 Å, rel. 34
2θ = 25.1°, d = 3.541 Å, rel. 66
2θ = 35.7°, d = 2.512 Å, rel. 100
2θ = 35.9°, d = 2.504 Å, rel. 50
2θ = 44.2°, d = 2.049 Å, rel. 27
2θ = 64.1°, d = 1.452 Å, rel. 18
2θ = 64.3°, d = 1.448 Å, rel. 18

(7)
Calculated X-ray powder pattern
Compound: Na2Tl2H4Ir
Radiation: Cu Ka
Structure: a cell relaxed with PBE

Structure:
```
Na2Tl2H4Ir
1.0
-3.0461 3.0461 4.1088
3.0461 -3.0461 4.1088
3.0461 3.0461 -4.1088
Na Tl H Ir
2 2 4 1
Direct
0.2500 0.7500 0.5000
0.7500 0.2500 0.5000
0.1736 0.1736 0.0000
0.8264 0.8264 0.0000
0.3015 0.3015 0.6030
0.3015 0.6985 0.0000
0.6985 0.3015 0.0000
0.6985 0.6985 0.3970
0.5000 0.5000 0.0000
```

The 8 most intense peaks (2θ from 10° to 90°), low angle first:
2θ = 20.6°, d = 4.308 Å, rel. 100
2θ = 29.3°, d = 3.046 Å, rel. 59
2θ = 35.9°, d = 2.498 Å, rel. 59
2θ = 41.9°, d = 2.154 Å, rel. 23
2θ = 47.0°, d = 1.932 Å, rel. 56
2θ = 47.2°, d = 1.927 Å, rel. 24
2θ = 56.4°, d = 1.631 Å, rel. 16
2θ = 64.8°, d = 1.438 Å, rel. 22

(8)
Calculated X-ray powder pattern
Compound: NbHIr3
Radiation: Cu Ka
Structure: a cell relaxed with PBE

Structure:
```
NbHIr3
1.0
-2.7950 2.7993 4.0389
2.7950 -2.7993 4.0389
2.7950 2.7993 -4.0389
Nb H Ir
2 2 6
Direct
0.2367 0.2367 0.0000
0.7633 0.7633 0.0000
0.5000 0.0000 0.5000
0.5000 0.5000 0.0000
0.2444 0.2514 0.4958
0.2444 0.7486 0.9930
0.2463 0.7463 0.5000
0.7537 0.2537 0.5000
0.7556 0.2514 0.0070
0.7556 0.7486 0.5042
```

The 8 most intense peaks (2θ from 10° to 90°), low angle first:
2θ = 39.2°, d = 2.300 Å, rel. 100
2θ = 44.9°, d = 2.019 Å, rel. 17
2θ = 45.9°, d = 1.978 Å, rel. 32
2θ = 66.1°, d = 1.413 Å, rel. 21
2θ = 78.9°, d = 1.213 Å, rel. 13
2θ = 80.4°, d = 1.195 Å, rel. 25
2θ = 84.2°, d = 1.150 Å, rel. 6
2θ = 84.3°, d = 1.149 Å, rel. 6